# 1
This entry pairs a crystal structure of Ca2Ti2O5 with its theoretical powder diffraction line list. Radiation: Cu Kα (λ = 1.5418 Å). Structure: a crystal structure in the Materials Project, relaxed with GGA-PBE.

Crystal structure
```
Ca2Ti2O5
1.0
7.609 0.000 0.000
0.000 7.754 0.000
-7.534 0.000 7.767
Ca Ti O
8 8 20
Direct
0.034 0.242 0.266
0.034 0.258 0.766
0.458 0.745 0.236
0.458 0.755 0.736
0.542 0.245 0.264
0.542 0.255 0.764
0.966 0.742 0.234
0.966 0.758 0.734
0.000 0.000 0.000
0.000 0.000 0.500
0.000 0.500 0.000
0.000 0.500 0.500
0.500 0.000 0.000
0.500 0.000 0.500
0.500 0.500 0.000
0.500 0.500 0.500
0.018 0.745 0.474
0.018 0.755 0.974
0.207 0.537 0.746
0.207 0.963 0.246
0.219 0.538 0.255
0.219 0.962 0.755
0.290 0.038 0.541
0.290 0.462 0.041
0.480 0.245 0.956
0.480 0.255 0.456
0.520 0.745 0.544
0.520 0.755 0.044
0.710 0.538 0.959
0.710 0.962 0.459
0.781 0.038 0.245
0.781 0.462 0.745
0.793 0.037 0.754
0.793 0.463 0.254
0.982 0.245 0.026
0.982 0.255 0.526
```

Most intense lines, 2θ from 15° to 90°, by intensity:
| 2theta | Rel. int. |
| --- | --- |
| 33.0 | 100 |
| 46.8 | 76 |
| 32.6 | 71 |
| 32.8 | 51 |
| 33.1 | 49 |
| 58.6 | 44 |
| 47.8 | 31 |
| 58.4 | 21 |
| 23.4 | 18 |
| 68.4 | 17 |



# 2
This entry pairs a crystal structure of Ca2Si3O11 with its theoretical powder diffraction line list. Radiation: Cu Kα (λ = 1.5418 Å). Structure: a crystal structure in the Materials Project, relaxed with GGA-PBE.

Crystal structure
```
Ca2Si3O11
1.0
3.358 -11.367 0.000
3.358 11.367 0.000
-2.569 0.000 6.284
Ca Si O
4 6 22
Direct
0.201 0.799 0.000
0.296 0.714 0.489
0.714 0.296 0.489
0.799 0.201 0.000
0.200 0.889 0.536
0.307 0.622 0.952
0.622 0.307 0.952
0.760 0.899 0.174
0.889 0.200 0.536
0.899 0.760 0.174
0.027 0.837 0.418
0.066 0.889 0.041
0.080 0.692 0.618
0.124 0.393 0.742
0.173 0.173 0.138
0.174 0.174 0.728
0.185 0.577 0.109
0.319 0.921 0.383
0.387 0.584 0.502
0.393 0.124 0.742
0.415 0.816 0.874
0.491 0.686 0.063
0.577 0.185 0.109
0.584 0.387 0.502
0.686 0.491 0.063
0.692 0.080 0.618
0.799 0.799 0.192
0.816 0.415 0.874
0.837 0.027 0.418
0.889 0.066 0.041
0.921 0.319 0.383
0.990 0.990 0.718
```

Most intense lines, 2θ from 15° to 90°, by intensity:
| 2theta | Rel. int. |
| --- | --- |
| 31.9 | 100 |
| 29.5 | 58 |
| 16.3 | 55 |
| 28.7 | 54 |
| 28.4 | 47 |
| 25.2 | 46 |
| 29.8 | 36 |
| 48.4 | 29 |
| 49.1 | 26 |
| 39.6 | 24 |